For Cu3P4S3I3, a GGA-PBE-relaxed structure gives the computed PXRD pattern in this record (CuKα).
Peak positions follow from Bragg's law for the DFT cell and can differ from measured ones.

Top 6 peaks for 2θ from 10° to 90°, low angle first:
- 12.64 deg, intensity 47
- 19.80 deg, intensity 55
- 23.46 deg, intensity 46
- 25.49 deg, intensity 100
- 28.43 deg, intensity 43
- 44.53 deg, intensity 50

```
data_Cu3P4S3I3
_space_group_name_H-M_alt 'P n m a'
_space_group_IT_number 62
_space_group_name_Hall '-P 2ac 2n'
_cell_length_a 19.4014
_cell_length_b 10.1157
_cell_length_c 7.0999
_cell_angle_alpha 90.00
_cell_angle_beta 90.00
_cell_angle_gamma 90.00
loop_
_atom_site_label
_atom_site_fract_x
_atom_site_fract_y
_atom_site_fract_z
_atom_site_occupancy
Cu1 0.1324 0.2500 0.0382 1
Cu2 0.1824 0.0178 0.5408 1
P1 0.0228 0.2500 0.1254 1
P2 0.1133 0.6367 0.6616 1
P3 0.1455 0.7500 0.9214 1
S1 0.0094 0.5886 0.7061 1
S2 0.0553 0.7500 0.0839 1
I1 0.1409 0.2500 0.6704 1
I2 0.1931 0.0372 0.1738 1
```

=====

For Ba3Nb2P4O18, a GGA-PBE-relaxed structure gives the computed PXRD pattern in this record (CuKα).
Peak positions follow from Bragg's law for the DFT cell and can differ from measured ones.

Top 6 peaks for 2θ from 10° to 90°, low angle first:
- 19.45 deg, intensity 96
- 21.42 deg, intensity 89
- 22.43 deg, intensity 79
- 23.39 deg, intensity 82
- 30.42 deg, intensity 100
- 30.80 deg, intensity 84

```
data_Ba3Nb2P4O18
_space_group_name_H-M_alt 'P -1'
_space_group_IT_number 2
_space_group_name_Hall '-P 1'
_cell_length_a 4.8735
_cell_length_b 9.0336
_cell_length_c 9.4805
_cell_angle_alpha 88.91
_cell_angle_beta 78.45
_cell_angle_gamma 78.60
loop_
_atom_site_label
_atom_site_fract_x
_atom_site_fract_y
_atom_site_fract_z
_atom_site_occupancy
Ba1 0.0000 0.0000 0.0000 1
Ba2 0.4492 0.7829 0.4137 1
Nb1 0.2432 0.6072 0.7687 1
P1 0.1924 0.6370 0.1402 1
P2 0.3060 0.1308 0.2844 1
O1 0.0030 0.7598 0.2435 1
O2 0.0390 0.1910 0.2158 1
O3 0.0671 0.4928 0.1337 1
O4 0.2155 0.0839 0.4398 1
O5 0.2304 0.5593 0.5893 1
O6 0.2645 0.6955 0.9871 1
O7 0.4555 0.2680 0.2936 1
O8 0.4758 0.5818 0.1977 1
O9 0.4916 0.0019 0.1862 1
```

=====

For Na2LaHoO4, a GGA-PBE-relaxed structure gives the computed PXRD pattern in this record (CuKα).
Peak positions follow from Bragg's law for the DFT cell and can differ from measured ones.

Top 6 peaks for 2θ from 10° to 90°, low angle first:
- 20.77 deg, intensity 100
- 31.92 deg, intensity 80
- 33.89 deg, intensity 33
- 38.51 deg, intensity 51
- 44.15 deg, intensity 28
- 52.22 deg, intensity 37

```
data_Na2LaHoO4
_space_group_name_H-M_alt 'I -4 m 2'
_space_group_IT_number 119
_space_group_name_Hall 'I -4 -2'
_cell_length_a 4.6754
_cell_length_b 4.6754
_cell_length_c 10.5817
_cell_angle_alpha 90.00
_cell_angle_beta 90.00
_cell_angle_gamma 90.00
loop_
_atom_site_label
_atom_site_fract_x
_atom_site_fract_y
_atom_site_fract_z
_atom_site_occupancy
Na1 0.0000 0.0000 0.0000 1
Na2 0.0000 0.5000 0.2500 1
La1 0.0000 0.5000 0.7500 1
Ho1 0.0000 0.0000 0.5000 1
O1 0.0000 0.0000 0.2875 1
O2 0.0000 0.5000 0.5175 1
```

=====

For ErLuNi2As2, a GGA-PBE-relaxed structure gives the computed PXRD pattern in this record (CuKα).
Peak positions follow from Bragg's law for the DFT cell and can differ from measured ones.

Top 6 peaks for 2θ from 10° to 90°, low angle first:
- 25.46 deg, intensity 19
- 35.10 deg, intensity 100
- 44.87 deg, intensity 43
- 58.21 deg, intensity 23
- 68.32 deg, intensity 22
- 76.38 deg, intensity 21

```
data_ErLuNi2As2
_space_group_name_H-M_alt 'P 63/m m c'
_space_group_IT_number 194
_space_group_name_Hall '-P 6c 2c'
_cell_length_a 4.0402
_cell_length_b 4.0402
_cell_length_c 14.9752
_cell_angle_alpha 90.00
_cell_angle_beta 90.00
_cell_angle_gamma 120.00
loop_
_atom_site_label
_atom_site_fract_x
_atom_site_fract_y
_atom_site_fract_z
_atom_site_occupancy
Er1 0.0000 0.0000 0.0000 1
Lu1 0.0000 0.0000 0.2500 1
Ni1 0.3333 0.6667 0.1380 1
As1 0.3333 0.6667 0.6209 1
```

=====

For CsPrSeO, a GGA-PBE-relaxed structure gives the computed PXRD pattern in this record (CuKα).
Peak positions follow from Bragg's law for the DFT cell and can differ from measured ones.

Top 6 peaks for 2θ from 10° to 90°, low angle first:
- 26.65 deg, intensity 47
- 27.67 deg, intensity 100
- 30.17 deg, intensity 34
- 30.49 deg, intensity 40
- 31.50 deg, intensity 55
- 42.50 deg, intensity 48

```
data_CsPrSeO
_space_group_name_H-M_alt 'P 1 21 1'
_space_group_IT_number 4
_space_group_name_Hall 'P 2yb'
_cell_length_a 6.0203
_cell_length_b 6.0204
_cell_length_c 13.1126
_cell_angle_alpha 90.00
_cell_angle_beta 100.20
_cell_angle_gamma 90.00
loop_
_atom_site_label
_atom_site_fract_x
_atom_site_fract_y
_atom_site_fract_z
_atom_site_occupancy
Cs1 0.0426 0.0000 0.1132 1
Cs2 0.4553 0.9997 0.8862 1
Pr1 0.0373 0.2992 0.5866 1
Pr2 0.4625 0.2990 0.4135 1
Se1 0.0912 0.4970 0.2410 1
Se2 0.4103 0.4964 0.7588 1
O1 0.2500 0.0529 0.5001 1
O2 0.2498 0.5550 0.5000 1
```

=====

For PrTlSeO, a GGA-PBE-relaxed structure gives the computed PXRD pattern in this record (CuKα).
Peak positions follow from Bragg's law for the DFT cell and can differ from measured ones.

Top 6 peaks for 2θ from 10° to 90°, low angle first:
- 23.87 deg, intensity 23
- 30.76 deg, intensity 100
- 31.65 deg, intensity 45
- 31.98 deg, intensity 45
- 32.29 deg, intensity 81
- 45.62 deg, intensity 38

```
data_PrTlSeO
_space_group_name_H-M_alt 'C 1 2 1'
_space_group_IT_number 5
_space_group_name_Hall 'C 2y'
_cell_length_a 5.6659
_cell_length_b 5.5974
_cell_length_c 12.1735
_cell_angle_alpha 90.00
_cell_angle_beta 93.85
_cell_angle_gamma 90.00
loop_
_atom_site_label
_atom_site_fract_x
_atom_site_fract_y
_atom_site_fract_z
_atom_site_occupancy
Pr1 0.2350 0.0000 0.3984 1
Tl1 0.2451 0.5165 0.8962 1
Se1 0.2254 0.5015 0.2430 1
O1 0.0000 0.2499 0.5000 1
O2 0.0000 0.7502 0.5000 1
```

=====

For LaPr2Ta2C6, a GGA-PBE-relaxed structure gives the computed PXRD pattern in this record (CuKα).
Peak positions follow from Bragg's law for the DFT cell and can differ from measured ones.

Top 6 peaks for 2θ from 10° to 90°, low angle first:
- 29.95 deg, intensity 100
- 30.95 deg, intensity 49
- 44.34 deg, intensity 22
- 52.54 deg, intensity 19
- 54.43 deg, intensity 38
- 62.23 deg, intensity 12

```
data_LaPr2Ta2C6
_space_group_name_H-M_alt 'I 4/m m m'
_space_group_IT_number 139
_space_group_name_Hall '-I 4 2'
_cell_length_a 4.0863
_cell_length_b 4.0863
_cell_length_c 21.8318
_cell_angle_alpha 90.00
_cell_angle_beta 90.00
_cell_angle_gamma 90.00
loop_
_atom_site_label
_atom_site_fract_x
_atom_site_fract_y
_atom_site_fract_z
_atom_site_occupancy
La1 0.0000 0.0000 0.0000 1
Pr1 0.0000 0.0000 0.1873 1
Ta1 0.0000 0.0000 0.3966 1
C1 0.0000 0.0000 0.3037 1
C2 0.0000 0.5000 0.0807 1
```

=====

For Cs2DyHoS4, a GGA-PBE-relaxed structure gives the computed PXRD pattern in this record (CuKα).
Peak positions follow from Bragg's law for the DFT cell and can differ from measured ones.

Top 6 peaks for 2θ from 10° to 90°, low angle first:
- 22.08 deg, intensity 38
- 27.55 deg, intensity 100
- 30.27 deg, intensity 51
- 42.28 deg, intensity 46
- 44.38 deg, intensity 38
- 50.11 deg, intensity 27

```
data_Cs2DyHoS4
_space_group_name_H-M_alt 'P -3 m 1'
_space_group_IT_number 164
_space_group_name_Hall '-P 3 2"'
_cell_length_a 4.0822
_cell_length_b 4.0822
_cell_length_c 16.1052
_cell_angle_alpha 90.00
_cell_angle_beta 90.00
_cell_angle_gamma 120.00
loop_
_atom_site_label
_atom_site_fract_x
_atom_site_fract_y
_atom_site_fract_z
_atom_site_occupancy
Cs1 0.3333 0.6667 0.2500 1
Dy1 0.0000 0.0000 0.0000 1
Ho1 0.0000 0.0000 0.5000 1
S1 0.3333 0.6667 0.5909 1
S2 0.3333 0.6667 0.9089 1
```

=====

For Gd4InNi2Sn4, a GGA-PBE-relaxed structure gives the computed PXRD pattern in this record (CuKα).
Peak positions follow from Bragg's law for the DFT cell and can differ from measured ones.

Top 6 peaks for 2θ from 10° to 90°, low angle first:
- 31.63 deg, intensity 79
- 32.28 deg, intensity 100
- 33.18 deg, intensity 26
- 34.10 deg, intensity 73
- 38.28 deg, intensity 27
- 39.47 deg, intensity 53

```
data_Gd4InNi2Sn4
_space_group_name_H-M_alt 'C 1 2/m 1'
_space_group_IT_number 12
_space_group_name_Hall '-C 2y'
_cell_length_a 16.2074
_cell_length_b 4.5666
_cell_length_c 7.4756
_cell_angle_alpha 90.00
_cell_angle_beta 109.34
_cell_angle_gamma 90.00
loop_
_atom_site_label
_atom_site_fract_x
_atom_site_fract_y
_atom_site_fract_z
_atom_site_occupancy
Gd1 0.0911 0.0000 0.3929 1
Gd2 0.1568 0.0000 0.9538 1
In1 0.0000 0.5000 0.0000 1
Ni1 0.2202 0.5000 0.6476 1
Sn1 0.0695 0.5000 0.6761 1
Sn2 0.2032 0.5000 0.2773 1
```

=====

For GaAu15, a GGA-PBE-relaxed structure gives the computed PXRD pattern in this record (CuKα).
Peak positions follow from Bragg's law for the DFT cell and can differ from measured ones.

Top 6 peaks for 2θ from 10° to 90°, low angle first:
- 37.19 deg, intensity 100
- 37.34 deg, intensity 99
- 38.31 deg, intensity 28
- 41.64 deg, intensity 32
- 44.11 deg, intensity 84
- 62.26 deg, intensity 40

```
data_GaAu15
_space_group_name_H-M_alt 'P 1 21/m 1'
_space_group_IT_number 11
_space_group_name_Hall '-P 2yb'
_cell_length_a 5.7918
_cell_length_b 2.9123
_cell_length_c 47.7134
_cell_angle_alpha 90.00
_cell_angle_beta 90.05
_cell_angle_gamma 90.00
loop_
_atom_site_label
_atom_site_fract_x
_atom_site_fract_y
_atom_site_fract_z
_atom_site_occupancy
Ga1 0.1250 0.2500 0.3362 1
Au1 0.1221 0.2500 0.7087 1
Au2 0.1240 0.2500 0.7986 1
Au3 0.1250 0.2500 0.0671 1
Au4 0.1250 0.2500 0.1565 1
Au5 0.1249 0.2500 0.2465 1
Au6 0.1253 0.2500 0.8881 1
Au7 0.1249 0.2500 0.9776 1
Au8 0.3720 0.7500 0.2913 1
Au9 0.3740 0.7500 0.2014 1
Au10 0.3749 0.7500 0.0224 1
Au11 0.3753 0.7500 0.1118 1
Au12 0.3749 0.7500 0.6648 1
Au13 0.3750 0.7500 0.7541 1
Au14 0.3750 0.7500 0.8433 1
Au15 0.3750 0.7500 0.9329 1
```

=====

For Dy3Mg3InGa2, a GGA-PBE-relaxed structure gives the computed PXRD pattern in this record (CuKα).
Peak positions follow from Bragg's law for the DFT cell and can differ from measured ones.

Top 6 peaks for 2θ from 10° to 90°, low angle first:
- 19.49 deg, intensity 26
- 28.14 deg, intensity 38
- 31.34 deg, intensity 41
- 34.46 deg, intensity 100
- 39.57 deg, intensity 21
- 56.05 deg, intensity 19

```
data_Dy3Mg3InGa2
_space_group_name_H-M_alt 'P -6 2 m'
_space_group_IT_number 189
_space_group_name_Hall 'P -6 -2'
_cell_length_a 7.3231
_cell_length_b 7.3231
_cell_length_c 4.5552
_cell_angle_alpha 90.00
_cell_angle_beta 90.00
_cell_angle_gamma 120.00
loop_
_atom_site_label
_atom_site_fract_x
_atom_site_fract_y
_atom_site_fract_z
_atom_site_occupancy
Dy1 0.0000 0.5617 0.0000 1
Mg1 0.0000 0.2495 0.5000 1
In1 0.0000 0.0000 0.0000 1
Ga1 0.3333 0.6667 0.5000 1
```